Entry 1:
Ni8Sb3: simulated XRD peak list (Cu Ka), based on a crystal structure in Alexandria, relaxed with PBE.
Peak positions follow from Bragg's law for the DFT cell and can differ from measured ones.

The 10 most intense peaks (10 to 90 degrees two-theta), by intensity:
2θ/deg  I (rel.)
32.62  100.0
54.71  78.9
46.31  67.8
39.21  67.0
34.34  59.5
45.05  43.9
43.10  29.4
26.73  28.5
24.53  20.5
83.09  20.2

Structure:
```
Ni8Sb3
1.0
4.198 2.424 2.792
-4.198 2.424 2.792
0.000 -4.847 2.792
Ni Sb
8 3
Cartesian
0.000 0.000 1.222
-1.425 -0.365 3.238
1.028 -1.051 3.238
-0.396 -1.416 5.138
0.396 1.416 3.238
-1.028 1.051 5.138
1.425 0.365 5.138
0.000 0.000 7.154
-4.198 0.000 4.188
-2.099 1.212 1.396
2.099 1.212 1.396
```

***

Entry 2:
Nd4SnRu2: simulated XRD peak list (Cu Ka), based on a crystal structure in Alexandria, relaxed with PBE.
Peak positions follow from Bragg's law for the DFT cell and can differ from measured ones.

The 10 most intense peaks (10 to 90 degrees two-theta), by intensity:
2θ/deg  I (rel.)
30.41  100.0
35.45  94.2
26.56  62.9
29.84  48.4
37.92  37.5
18.70  35.3
45.24  33.2
47.68  30.0
49.69  27.9
35.63  23.2

Structure:
```
Nd4SnRu2
1.0
0.000 6.702 6.721
4.637 0.000 6.721
4.637 6.702 0.000
Nd Sn Ru
8 2 4
Cartesian
2.725 2.887 2.889
6.549 6.238 6.249
4.231 7.167 2.889
4.231 2.887 7.192
5.043 10.518 6.249
5.043 6.238 10.553
2.725 7.167 7.192
6.549 10.518 10.553
3.478 5.027 5.041
5.796 8.378 8.401
0.000 0.000 0.000
2.318 3.351 0.000
2.318 0.000 3.360
0.000 3.351 3.360
```

***

Entry 3:
Pm3Al2Si2: simulated XRD peak list (Cu Ka), based on a crystal structure in Alexandria, relaxed with PBE.
Peak positions follow from Bragg's law for the DFT cell and can differ from measured ones.

The 10 most intense peaks (10 to 90 degrees two-theta), by intensity:
2θ/deg  I (rel.)
31.57  100.0
31.47  63.8
26.20  59.9
49.58  44.0
55.66  25.2
20.88  25.1
28.61  24.5
69.25  22.5
41.32  22.2
40.40  20.8

Structure:
```
Pm3Al2Si2
1.0
-2.029 2.185 9.359
2.029 -2.185 9.359
2.029 2.185 -9.359
Pm Al Si
3 2 2
Cartesian
0.000 0.000 0.000
2.029 0.000 3.503
0.000 2.185 5.856
0.000 0.000 8.095
0.000 0.000 10.623
2.029 0.000 6.643
0.000 2.185 2.716
```

***

Entry 4:
Y19Tm4Sc6: simulated XRD peak list (Cu Ka), based on a crystal structure in Alexandria, relaxed with PBE.
Peak positions follow from Bragg's law for the DFT cell and can differ from measured ones.

The 10 most intense peaks (10 to 90 degrees two-theta), by intensity:
2θ/deg  I (rel.)
30.88  100.0
37.32  27.2
54.92  22.0
29.07  21.2
17.68  17.8
61.30  16.5
35.81  15.8
42.93  14.5
34.23  14.4
62.32  10.7

Structure:
```
Y19Tm4Sc6
1.0
-6.143 6.143 6.143
6.143 -6.143 6.143
6.143 6.143 -6.143
Y Tm Sc
19 4 6
Cartesian
0.000 0.000 0.000
3.263 0.000 0.000
9.022 0.000 0.000
5.430 2.768 -2.673
8.816 -0.712 3.375
2.768 -2.673 5.430
0.000 3.263 0.000
0.000 0.000 3.263
3.470 0.712 3.375
3.375 3.470 0.712
6.855 2.768 2.673
0.712 3.375 3.470
3.375 8.816 -0.712
-2.673 5.430 2.768
0.000 9.022 0.000
0.000 0.000 9.022
2.768 2.673 6.855
2.673 6.855 2.768
-0.712 3.375 8.816
2.193 2.193 -2.193
2.193 -2.193 2.193
-2.193 2.193 2.193
3.950 3.950 3.950
6.143 1.431 0.000
6.143 0.000 4.711
4.711 6.143 0.000
1.431 0.000 6.143
0.000 6.143 1.431
0.000 4.711 6.143
```